Diffraction record for Nd4ErSe7. The powder diffractogram is computed, not measured: it uses a PBE-relaxed structure and Cu Kα.
Neutral-atom scattering factors, no anomalous dispersion.

Crystal structure
Unit cell a=13.757 b=4.082 c=12.446 alpha=90.00 beta=104.95 gamma=90.00
Space group Cm (No. 8)
Symmetry-distinct sites (fractional):
1 Nd 0.000 0.000 0.000 (multiplicity 2)
2 Nd 0.087 0.500 0.382 (multiplicity 2)
3 Nd 0.189 0.000 0.767 (multiplicity 2)
4 Nd 0.387 0.500 0.571 (multiplicity 2)
5 Er 0.275 0.500 0.151 (multiplicity 2)
6 Se 0.049 0.500 0.625 (multiplicity 2)
7 Se 0.132 0.500 0.931 (multiplicity 2)
8 Se 0.155 0.000 0.222 (multiplicity 2)
9 Se 0.226 0.000 0.523 (multiplicity 2)
10 Se 0.349 0.500 0.790 (multiplicity 2)
11 Se 0.382 0.000 0.078 (multiplicity 2)
12 Se 0.425 0.500 0.352 (multiplicity 2)

Most intense lines, 2θ = 10–80°, by intensity:
- d = 2.896 Å, intensity 100, (3 1 -2)
- d = 3.905 Å, intensity 96, (2 0 -3)
- d = 3.977 Å, intensity 79, (2 0 2)
- d = 3.040 Å, intensity 75, (3 1 -1)
- d = 2.800 Å, intensity 68, (3 1 1)
- d = 2.041 Å, intensity 59, (0 2 0)
- d = 2.634 Å, intensity 52, (3 1 -3)
- d = 2.299 Å, intensity 51, (1 1 4)
- d = 3.002 Å, intensity 48, (3 1 0)
- d = 2.474 Å, intensity 46, (1 1 -4)